Structure and theoretical XRD peak list of Rb2NaNp2O7 (a GGA-PBE-relaxed structure; Cu Kα (weighted mean of Kα1 and Kα2)).
Intensities are scaled so that the largest is 100.

The 12 most intense peaks (2θ = 10–90°), in order of rising 2θ:
2theta, I/Imax, h k l
15.60, 28.8, 0 0 4
21.04, 64.5, 1 0 1
23.50, 11.5, 0 0 6
28.59, 100.0, 1 0 5
29.39, 54.6, 1 1 0
39.68, 12.7, 0 0 10
42.05, 30.0, 2 0 0
47.48, 15.7, 2 1 1
50.14, 18.7, 1 1 10
51.64, 40.6, 2 1 5
59.19, 15.2, 2 0 10
83.93, 10.8, 3 2 5

Cell and atoms:
a b c (Å): 4.2975 4.2975 22.7155
angles (deg): 90.00 90.00 90.00
Space group I4/mmm (No. 139)
Asymmetric unit:
Rb  0.0000  0.0000  0.1902 (multiplicity 4)
Na  0.0000  0.0000  0.0000 (multiplicity 2)
Np  0.0000  0.0000  0.4076 (multiplicity 4)
O  0.0000  0.0000  0.3209 (multiplicity 4)
O  0.0000  0.0000  0.5000 (multiplicity 2)
O  0.0000  0.5000  0.0895 (multiplicity 8)

Structure and theoretical XRD peak list of NpCuGePd (a GGA-PBE-relaxed structure; Cu Kα (weighted mean of Kα1 and Kα2)).
Intensities are scaled so that the largest is 100.

The 12 most intense peaks (2θ = 10–90°), in order of rising 2θ:
2theta, I/Imax, h k l
23.37, 14.8, 1 1 1
27.05, 20.3, 2 0 0
38.63, 100.0, 2 2 0
45.64, 8.4, 3 1 1
47.79, 6.1, 2 2 2
55.77, 17.1, 4 0 0
61.29, 3.7, 3 3 1
63.06, 8.3, 4 2 0
69.90, 34.6, 4 2 2
82.82, 11.0, 4 4 0
87.54, 3.1, 5 3 1
89.11, 4.5, 6 0 0

Cell and atoms:
a b c (Å): 6.5931 6.5931 6.5931
angles (deg): 90.00 90.00 90.00
Space group F-43m (No. 216)
Asymmetric unit:
Np  0.0000  0.0000  0.0000 (multiplicity 4)
Cu  0.2500  0.2500  0.2500 (multiplicity 4)
Ge  0.2500  0.2500  0.7500 (multiplicity 4)
Pd  0.0000  0.0000  0.5000 (multiplicity 4)